No. 1
Theoretical powder XRD pattern of Li2Fe2P2O9F for copper Kα, from a DFT-relaxed cell (PBE+U, the Materials Project).
Lines closer than 0.1° are merged.

Largest 10 diffraction maxima, in order of rising 2θ, 2θ = 10–90°:
d (Å)	2θ (°)	I/Imax	h k l
5.001	17.7	35	0 1 0
4.835	18.4	88	1 0 0
4.804	18.5	34	1 0 -1
4.007	22.2	34	1 -1 0
3.460	25.7	27	-1 1 1
3.323	26.8	78	1 0 -2
3.299	27.0	97	0 1 -2
3.111	28.7	100	1 1 0
2.487	36.1	41	1 -2 0
1.676	54.8	33	1 -3 2

Structure:
Cell: 5.236 5.371 7.303 Å, 106.05 107.69 98.22°
Space group P1 (No. 1)
Symmetry-distinct sites (fractional):
Li 0.000 0.000 0.000 x1
Li 0.478 0.771 0.595 x1
Fe 0.728 0.381 0.302 x1
Fe 0.746 0.391 0.796 x1
P 0.056 0.018 0.553 x1
P 0.417 0.748 0.039 x1
O 0.046 0.717 0.460 x1
O 0.112 0.628 0.890 x1
O 0.369 0.143 0.689 x1
O 0.421 0.046 0.137 x1
O 0.487 0.607 0.198 x1
O 0.615 0.725 0.916 x1
O 0.625 0.450 0.538 x1
O 0.878 0.051 0.690 x1
O 0.972 0.146 0.387 x1
F 0.851 0.313 0.059 x1


No. 2
Theoretical powder XRD pattern of Li2FePO4F for copper Kα, from a DFT-relaxed cell (PBE+U, the Materials Project).
Lines closer than 0.1° are merged.

Largest 10 diffraction maxima, in order of rising 2θ, 2θ = 10–90°:
d (Å)	2θ (°)	I/Imax	h k l
5.091	17.4	38	0 1 0
5.016	17.7	30	1 0 0
4.931	18.0	27	1 0 -1
3.974	22.4	22	1 -1 0
3.442	25.9	26	-1 1 1
3.397	26.2	100	1 0 -2
3.378	26.4	95	0 1 -2
3.273	27.2	98	1 1 0
2.468	36.4	37	1 -2 0
2.096	43.2	23	2 1 0

Structure:
Cell: 5.372 5.426 7.510 Å, 107.06 107.92 94.82°
Space group P1 (No. 1)
Symmetry-distinct sites (fractional):
Li 0.000 0.000 0.000 x1
Li 0.034 0.864 0.630 x1
Li 0.339 0.316 0.978 x1
Li 0.769 0.452 0.302 x1
Fe 0.519 0.857 0.642 x1
Fe 0.534 0.871 0.158 x1
P 0.194 0.240 0.391 x1
P 0.872 0.495 0.917 x1
O 0.165 0.617 0.057 x1
O 0.190 0.532 0.495 x1
O 0.273 0.095 0.542 x1
O 0.375 0.213 0.260 x1
O 0.683 0.520 0.041 x1
O 0.795 0.657 0.776 x1
O 0.866 0.199 0.814 x1
O 0.902 0.117 0.238 x1
F 0.352 0.957 0.880 x1
F 0.695 0.781 0.423 x1


No. 3
Theoretical powder XRD pattern of Li4Fe3P3O12F for copper Kα, from a DFT-relaxed cell (PBE+U, the Materials Project).
Lines closer than 0.1° are merged.

Largest 10 diffraction maxima, in order of rising 2θ, 2θ = 10–90°:
d (Å)	2θ (°)	I/Imax	h k l
5.975	14.8	100	1 1 0
4.225	21.0	28	2 0 0
3.450	25.8	73	2 1 1
2.987	29.9	9	2 2 0
2.439	36.8	54	2 2 2
2.344	38.4	10	3 2 0
2.258	39.9	41	3 2 1
1.844	49.4	13	4 2 1
1.494	62.1	33	4 4 0
1.274	74.5	14	6 2 2

Structure:
Cell: 8.450 8.450 8.450 Å, 90.00 90.00 90.00°
Space group P-43n (No. 218)
Symmetry-distinct sites (fractional):
Li 0.143 0.143 0.143 x8
Fe 0.000 0.250 0.500 x6
P 0.000 0.500 0.250 x6
O 0.100 0.384 0.147 x24
F 0.000 0.000 0.000 x2


No. 4
Theoretical powder XRD pattern of Li2Fe2P2O8F for copper Kα, from a DFT-relaxed cell (PBE+U, the Materials Project).
Lines closer than 0.1° are merged.

Largest 10 diffraction maxima, in order of rising 2θ, 2θ = 10–90°:
d (Å)	2θ (°)	I/Imax	h k l
6.570	13.5	100	0 2 0
3.785	23.5	66	1 2 1
3.593	24.8	20	1 1 2
3.248	27.5	48	1 2 2
3.187	28.0	36	0 2 3
2.817	31.8	23	0 4 2
2.737	32.7	28	0 0 4
2.555	35.1	27	2 0 0
1.892	48.1	18	2 4 2
1.595	57.8	19	0 4 6

Structure:
Cell: 5.111 13.139 10.949 Å, 90.00 90.00 90.00°
Space group Pbcn (No. 60)
Symmetry-distinct sites (fractional):
Li 0.217 0.249 0.169 x8
Fe 0.185 0.489 0.662 x8
P 0.184 0.126 0.908 x8
O 0.116 0.116 0.620 x8
O 0.187 0.282 0.353 x8
O 0.195 0.475 0.350 x8
O 0.224 0.120 0.049 x8
F 0.000 0.368 0.750 x4